No. 1
This entry pairs a crystal structure of AcPr2Cu2Si2 with its calculated X-ray powder pattern. Radiation: copper Kα. Structure: a DFT-relaxed cell (GGA-PBE, Alexandria).

The 6 most intense peaks (2θ = 5–70°), by angle:
d 3.700, 2θ 24.05, I 59
d 3.624, 2θ 24.56, I 26
d 2.860, 2θ 31.27, I 100
d 2.696, 2θ 33.23, I 93
d 2.151, 2θ 42.00, I 75
d 1.496, 2θ 62.02, I 39

Cell and atoms:
Unit cell a=10.706 b=10.706 c=10.706 alpha=23.18 beta=23.18 gamma=23.18
Positions (direct):
1 Ac 0.000 0.000 0.000
2 Pr 0.128 0.128 0.128
3 Pr 0.872 0.872 0.872
4 Cu 0.405 0.405 0.405
5 Cu 0.595 0.595 0.595
6 Si 0.261 0.261 0.261
7 Si 0.739 0.739 0.739

No. 2
This entry pairs a crystal structure of Nd5Ag4Sn with its calculated X-ray powder pattern. Radiation: copper Kα. Structure: a DFT-relaxed cell (GGA-PBE, Alexandria).

The 6 most intense peaks (2θ = 5–70°), by angle:
d 2.694, 2θ 33.25, I 100
d 2.620, 2θ 34.22, I 48
d 1.853, 2θ 49.17, I 17
d 1.571, 2θ 58.79, I 18
d 1.527, 2θ 60.65, I 35
d 1.347, 2θ 69.81, I 10

Cell and atoms:
Unit cell a=3.706 b=3.706 c=19.621 alpha=90.00 beta=90.00 gamma=90.00
Positions (direct):
1 Nd 0.000 0.000 0.000
2 Nd 0.000 0.000 0.196
3 Nd 0.000 0.000 0.394
4 Nd 0.000 0.000 0.606
5 Nd 0.000 0.000 0.804
6 Ag 0.500 0.500 0.099
7 Ag 0.500 0.500 0.291
8 Ag 0.500 0.500 0.709
9 Ag 0.500 0.500 0.901
10 Sn 0.500 0.500 0.500

No. 3
This entry pairs a crystal structure of Ba6Mg15Hg8 with its calculated X-ray powder pattern. Radiation: copper Kα. Structure: a DFT-relaxed cell (GGA-PBE, Alexandria).

The 6 most intense peaks (2θ = 5–70°), by angle:
d 8.760, 2θ 10.10, I 26
d 4.575, 2θ 19.40, I 28
d 3.481, 2θ 25.59, I 38
d 2.682, 2θ 33.41, I 100
d 1.854, 2θ 49.15, I 18
d 1.549, 2θ 59.71, I 30

Cell and atoms:
Unit cell a=10.729 b=10.729 c=10.729 alpha=60.00 beta=60.00 gamma=60.00
Positions (direct):
1 Ba 0.233 0.233 0.767
2 Ba 0.233 0.767 0.233
3 Ba 0.233 0.767 0.767
4 Ba 0.767 0.233 0.233
5 Ba 0.767 0.233 0.767
6 Ba 0.767 0.767 0.233
7 Mg 0.000 0.000 0.500
8 Mg 0.000 0.500 0.000
9 Mg 0.000 0.500 0.500
10 Mg 0.174 0.174 0.174
11 Mg 0.174 0.174 0.479
12 Mg 0.174 0.479 0.174
13 Mg 0.479 0.174 0.174
14 Mg 0.500 0.000 0.000
15 Mg 0.500 0.000 0.500
16 Mg 0.500 0.500 0.000
17 Mg 0.500 0.500 0.500
18 Mg 0.521 0.826 0.826
19 Mg 0.826 0.521 0.826
20 Mg 0.826 0.826 0.521
21 Mg 0.826 0.826 0.826
22 Hg 0.100 0.633 0.633
23 Hg 0.367 0.367 0.367
24 Hg 0.367 0.367 0.900
25 Hg 0.367 0.900 0.367
26 Hg 0.633 0.100 0.633
27 Hg 0.633 0.633 0.100
28 Hg 0.633 0.633 0.633
29 Hg 0.900 0.367 0.367

No. 4
This entry pairs a crystal structure of Fe4Ir5Rh2 with its calculated X-ray powder pattern. Radiation: copper Kα. Structure: a DFT-relaxed cell (GGA-PBE, Alexandria).

The 6 most intense peaks (2θ = 5–70°), by angle:
d 3.258, 2θ 27.37, I 56
d 2.409, 2θ 37.33, I 45
d 2.323, 2θ 38.76, I 26
d 2.080, 2θ 43.51, I 80
d 2.046, 2θ 44.28, I 41
d 2.024, 2θ 44.78, I 100

Cell and atoms:
Unit cell a=8.536 b=8.536 c=4.764 alpha=102.40 beta=102.40 gamma=27.73
Positions (direct):
1 Fe 0.035 0.035 0.309
2 Fe 0.281 0.281 0.114
3 Fe 0.719 0.719 0.886
4 Fe 0.965 0.965 0.691
5 Ir 0.124 0.124 0.954
6 Ir 0.197 0.197 0.514
7 Ir 0.500 0.500 0.000
8 Ir 0.803 0.803 0.486
9 Ir 0.876 0.876 0.046
10 Rh 0.417 0.417 0.424
11 Rh 0.583 0.583 0.576

No. 5
This entry pairs a crystal structure of K2Rb2IrO6 with its calculated X-ray powder pattern. Radiation: copper Kα. Structure: a DFT-relaxed cell (GGA-PBE, Alexandria).

The 6 most intense peaks (2θ = 5–70°), by angle:
d 5.400, 2θ 16.41, I 100
d 4.032, 2θ 22.04, I 59
d 3.113, 2θ 28.67, I 46
d 2.952, 2θ 30.27, I 47
d 2.702, 2θ 33.16, I 35
d 2.596, 2θ 34.55, I 61

Cell and atoms:
Unit cell a=6.247 b=6.247 c=6.603 alpha=100.11 beta=100.11 gamma=115.65
Positions (direct):
1 K 0.156 0.844 0.000
2 K 0.844 0.156 0.000
3 Rb 0.323 0.677 0.500
4 Rb 0.677 0.323 0.500
5 Ir 0.500 0.500 0.000
6 O 0.196 0.451 0.825
7 O 0.327 0.327 0.182
8 O 0.451 0.196 0.825
9 O 0.549 0.804 0.175
10 O 0.673 0.673 0.818
11 O 0.804 0.549 0.175

No. 6
This entry pairs a crystal structure of MnCdIr with its calculated X-ray powder pattern. Radiation: copper Kα. Structure: a DFT-relaxed cell (GGA-PBE, Alexandria).

The 6 most intense peaks (2θ = 5–70°), by angle:
d 5.061, 2θ 17.52, I 18
d 2.981, 2θ 29.97, I 26
d 2.291, 2θ 39.33, I 100
d 2.206, 2θ 40.91, I 48
d 1.663, 2θ 55.24, I 9
d 1.560, 2θ 59.24, I 16

Cell and atoms:
Unit cell a=5.521 b=5.521 c=5.521 alpha=147.18 beta=147.18 gamma=47.10
Positions (direct):
1 Mn 0.000 0.000 0.000
2 Cd 0.686 0.686 0.000
3 Ir 0.372 0.372 0.000

No. 7
This entry pairs a crystal structure of Si2Sn2O7 with its calculated X-ray powder pattern. Radiation: copper Kα. Structure: a DFT-relaxed cell (GGA-PBE, Alexandria).

The 6 most intense peaks (2θ = 5–70°), by angle:
d 3.558, 2θ 25.03, I 50
d 3.318, 2θ 26.87, I 57
d 3.185, 2θ 28.01, I 100
d 3.166, 2θ 28.19, I 46
d 3.147, 2θ 28.36, I 73
d 2.706, 2θ 33.10, I 49

Cell and atoms:
Unit cell a=6.683 b=6.787 c=12.977 alpha=79.83 beta=84.78 gamma=82.68
Positions (direct):
1 Si 0.064 0.214 0.201
2 Si 0.148 0.225 0.425
3 Si 0.351 0.108 0.626
4 Si 0.436 0.711 0.129
5 Si 0.564 0.289 0.871
6 Si 0.649 0.892 0.374
7 Si 0.852 0.775 0.575
8 Si 0.936 0.786 0.799
9 Sn 0.055 0.256 0.884
10 Sn 0.161 0.740 0.361
11 Sn 0.343 0.580 0.653
12 Sn 0.419 0.814 0.861
13 Sn 0.581 0.186 0.139
14 Sn 0.657 0.420 0.347
15 Sn 0.839 0.260 0.639
16 Sn 0.945 0.744 0.116
17 O 0.050 0.571 0.774
18 O 0.076 0.741 0.515
19 O 0.097 0.898 0.852
20 O 0.121 0.091 0.329
21 O 0.144 0.233 0.676
22 O 0.225 0.762 0.203
23 O 0.242 0.435 0.381
24 O 0.275 0.218 0.130
25 O 0.301 0.084 0.507
26 O 0.354 0.720 0.014
27 O 0.406 0.125 0.865
28 O 0.407 0.884 0.696
29 O 0.448 0.514 0.825
30 O 0.462 0.757 0.378
31 O 0.538 0.243 0.622
32 O 0.552 0.486 0.175
33 O 0.593 0.116 0.304
34 O 0.594 0.875 0.135
35 O 0.646 0.280 0.986
36 O 0.699 0.916 0.493
37 O 0.725 0.782 0.870
38 O 0.758 0.565 0.619
39 O 0.775 0.238 0.797
40 O 0.856 0.767 0.324
41 O 0.879 0.909 0.671
42 O 0.903 0.102 0.148
43 O 0.924 0.259 0.485
44 O 0.950 0.429 0.226